# Dy5Ta2O12
Computed powder diffraction line list, Cu Kα (λ = 1.5418 Å). Input: the PBE geometry in Alexandria.

Peak list (10 most intense, 5° ≤ 2θ ≤ 70°, low angle first)
| 2θ/deg | intensity |
| --- | --- |
| 25.1 | 23 |
| 27.2 | 95 |
| 28.4 | 100 |
| 30.1 | 26 |
| 32.9 | 33 |
| 33.1 | 79 |
| 34.0 | 31 |
| 39.8 | 35 |
| 49.0 | 26 |
| 55.5 | 52 |

Atomic structure:
```
Dy5Ta2O12
1.0
6.2171 -2.9470 0.0000
6.2171 2.9470 0.0000
-2.2311 0.0000 7.0918
Dy Ta O
5 2 12
Direct
0.0000 0.0000 0.0000 Dy
0.3011 0.3011 0.1368 Dy
0.3084 0.3084 0.6753 Dy
0.6916 0.6916 0.3247 Dy
0.6989 0.6989 0.8632 Dy
0.2416 0.7584 0.5000 Ta
0.7584 0.2416 0.5000 Ta
0.0011 0.0011 0.3060 O
0.0962 0.5952 0.9261 O
0.0998 0.5692 0.4146 O
0.4048 0.9038 0.0739 O
0.4308 0.9002 0.5854 O
0.4987 0.4987 0.6942 O
0.5013 0.5013 0.3058 O
0.5692 0.0998 0.4146 O
0.5952 0.0962 0.9261 O
0.9002 0.4308 0.5854 O
0.9038 0.4048 0.0739 O
0.9989 0.9989 0.6940 O
```